1.
Starting from a crystal structure in the Materials Project, relaxed with GGA+U, the powder diffraction line list of LiFeP4O12 was simulated for Cu Ka.
Intensities are scaled so that the largest is 100.

Principal peaks in the range 2θ = 15–90°, sorted by position:
- (2 0 -2), d 4.976, 2θ = 17.83°, rel. 69
- (3 1 -1), d 4.410, 2θ = 20.14°, rel. 65
- (0 0 2), d 4.103, 2θ = 21.66°, rel. 31
- (4 0 -2), d 3.906, 2θ = 22.76°, rel. 83
- (0 2 1), d 3.421, 2θ = 26.05°, rel. 100
- (2 2 -1), d 3.390, 2θ = 26.29°, rel. 30
- (2 0 2), d 2.855, 2θ = 31.33°, rel. 59
- (6 0 -2), d 2.720, 2θ = 32.93°, rel. 36

Cell and atoms:
abc: 16.3304 7.5271 9.9647
angles: 90.00 124.57 90.00
Space group C2/c (No. 15)
Symmetry-distinct sites (fractional):
Li (0.0000, 0.1653, 0.2500) x4
Fe (0.0000, 0.2818, 0.7500) x4
P (0.1401, 0.1803, 0.1111) x8
P (0.1471, 0.4172, 0.6616) x8
O (0.0734, 0.1270, 0.9297) x8
O (0.0761, 0.4395, 0.7158) x8
O (0.1079, 0.1318, 0.2178) x8
O (0.1242, 0.2800, 0.5393) x8
O (0.1562, 0.3907, 0.1013) x8
O (0.2462, 0.1032, 0.1665) x8

2.
Starting from a crystal structure in the Materials Project, relaxed with GGA+U, the powder diffraction line list of BaWO2 was simulated for Cu Ka.
Intensities are scaled so that the largest is 100.

Principal peaks in the range 2θ = 15–90°, sorted by position:
- (0 0 4), d 3.249, 2θ = 27.46°, rel. 41
- (2 0 2), d 3.023, 2θ = 29.55°, rel. 100
- (2 2 0), d 2.414, 2θ = 37.24°, rel. 38
- (2 2 4), d 1.938, 2θ = 46.88°, rel. 37
- (2 0 6), d 1.829, 2θ = 49.86°, rel. 28
- (4 0 4), d 1.511, 2θ = 61.34°, rel. 16
- (4 2 2), d 1.487, 2θ = 62.48°, rel. 27
- (4 2 6), d 1.248, 2θ = 76.30°, rel. 16

Cell and atoms:
abc: 6.8292 6.8292 12.9942
angles: 90.00 90.00 90.00
Space group I4_1/amd (No. 141, origin choice 2)
Symmetry-distinct sites (fractional):
Ba (0.0000, 0.0000, 0.0000) x8
W (0.0000, 0.0000, 0.5000) x8
O (0.0000, 0.0508, 0.2119) x16

3.
Starting from a crystal structure in the Materials Project, relaxed with GGA+U, the powder diffraction line list of BaCaEuWO6 was simulated for Cu Ka.
Intensities are scaled so that the largest is 100.

Principal peaks in the range 2θ = 15–90°, sorted by position:
- (1 1 0), d 4.190, 2θ = 21.20°, rel. 17
- (1 1 2), d 3.017, 2θ = 29.61°, rel. 100
- (2 0 0), d 2.963, 2θ = 30.16°, rel. 56
- (0 0 4), d 2.174, 2θ = 41.54°, rel. 16
- (2 2 0), d 2.095, 2θ = 43.18°, rel. 26
- (2 0 4), d 1.753, 2θ = 52.18°, rel. 24
- (3 1 2), d 1.721, 2θ = 53.23°, rel. 45
- (2 2 4), d 1.509, 2θ = 61.46°, rel. 17

Cell and atoms:
abc: 5.9261 5.9261 8.6962
angles: 90.00 90.00 90.00
Space group P-4n2 (No. 118)
Symmetry-distinct sites (fractional):
Ba (0.0000, 0.5000, 0.2500) x2
Ca (0.0000, 0.5000, 0.7500) x2
Eu (0.0000, 0.0000, 0.0000) x2
W (0.0000, 0.0000, 0.5000) x2
O (0.0000, 0.0000, 0.2713) x4
O (0.1496, 0.2951, 0.5220) x8

4.
Starting from a crystal structure in the Materials Project, relaxed with GGA+U, the powder diffraction line list of CrH12N3O8 was simulated for Cu Ka.
Intensities are scaled so that the largest is 100.

Principal peaks in the range 2θ = 15–90°, sorted by position:
- (1 1 1), d 5.392, 2θ = 16.44°, rel. 100
- (2 0 0), d 4.973, 2θ = 17.84°, rel. 17
- (0 2 0), d 4.911, 2θ = 18.06°, rel. 16
- (0 0 2), d 4.237, 2θ = 20.97°, rel. 11
- (2 0 2), d 3.225, 2θ = 27.66°, rel. 23
- (0 2 2), d 3.208, 2θ = 27.81°, rel. 25
- (4 0 0), d 2.486, 2θ = 36.13°, rel. 10
- (0 4 0), d 2.456, 2θ = 36.59°, rel. 9

Cell and atoms:
abc: 9.9455 9.8229 8.4737
angles: 90.00 90.00 90.00
Space group Cmc2_1 (No. 36)
Symmetry-distinct sites (fractional):
Cr (0.0000, 0.2486, 0.0000) x4
H (0.0000, 0.2672, 0.6203) x4
H (0.0000, 0.3205, 0.4298) x4
H (0.0851, 0.1800, 0.4829) x8
H (0.1687, 0.0342, 0.1818) x8
H (0.1884, 0.4358, 0.1652) x8
H (0.1940, 0.4333, 0.7948) x8
H (0.2096, 0.0782, 0.8230) x8
N (0.0000, 0.2374, 0.5037) x4
N (0.2489, 0.0112, 0.7413) x8
O (0.0000, 0.0503, 0.9618) x4
O (0.0000, 0.0866, 0.1278) x4
O (0.0000, 0.3516, 0.1901) x4
O (0.0000, 0.4432, 0.0552) x4
O (0.1316, 0.2770, 0.8387) x8
O (0.1996, 0.2485, 0.9867) x8

5.
Starting from a crystal structure in the Materials Project, relaxed with GGA+U, the powder diffraction line list of SrMg14CoO16 was simulated for Cu Ka.
Intensities are scaled so that the largest is 100.

Principal peaks in the range 2θ = 15–90°, sorted by position:
- (1 2 2), d 2.511, 2θ = 35.76°, rel. 62
- (2 0 0), d 2.197, 2θ = 41.09°, rel. 100
- (0 0 4), d 2.171, 2θ = 41.60°, rel. 94
- (0 4 0), d 2.156, 2θ = 41.91°, rel. 92
- (2 0 4), d 1.544, 2θ = 59.90°, rel. 56
- (2 4 0), d 1.539, 2θ = 60.14°, rel. 55
- (0 4 4), d 1.530, 2θ = 60.53°, rel. 53
- (2 4 4), d 1.255, 2θ = 75.78°, rel. 49

Cell and atoms:
abc: 4.3939 8.6229 8.6832
angles: 90.00 90.00 90.00
Space group Pmmm (No. 47)
Symmetry-distinct sites (fractional):
Sr (0.0000, 0.0000, 0.0000) x1
Mg (0.0000, 0.0000, 0.5000) x1
Mg (0.0000, 0.2567, 0.2564) x4
Mg (0.0000, 0.5000, 0.5000) x1
Mg (0.5000, 0.0000, 0.2598) x2
Mg (0.5000, 0.2517, 0.5000) x2
Mg (0.5000, 0.2593, 0.0000) x2
Mg (0.5000, 0.5000, 0.2507) x2
Co (0.0000, 0.5000, 0.0000) x1
O (0.0000, 0.0000, 0.2714) x2
O (0.0000, 0.2534, 0.5000) x2
O (0.0000, 0.2714, 0.0000) x2
O (0.0000, 0.5000, 0.2600) x2
O (0.5000, 0.0000, 0.0000) x1
O (0.5000, 0.0000, 0.5000) x1
O (0.5000, 0.2502, 0.2490) x4
O (0.5000, 0.5000, 0.0000) x1
O (0.5000, 0.5000, 0.5000) x1

Repeat the fifth record exactly.
Starting from a crystal structure in the Materials Project, relaxed with GGA+U, the powder diffraction line list of SrMg14CoO16 was simulated for Cu Ka.
Intensities are scaled so that the largest is 100.

Principal peaks in the range 2θ = 15–90°, sorted by position:
- (1 2 2), d 2.511, 2θ = 35.76°, rel. 62
- (2 0 0), d 2.197, 2θ = 41.09°, rel. 100
- (0 0 4), d 2.171, 2θ = 41.60°, rel. 94
- (0 4 0), d 2.156, 2θ = 41.91°, rel. 92
- (2 0 4), d 1.544, 2θ = 59.90°, rel. 56
- (2 4 0), d 1.539, 2θ = 60.14°, rel. 55
- (0 4 4), d 1.530, 2θ = 60.53°, rel. 53
- (2 4 4), d 1.255, 2θ = 75.78°, rel. 49

Cell and atoms:
abc: 4.3939 8.6229 8.6832
angles: 90.00 90.00 90.00
Space group Pmmm (No. 47)
Symmetry-distinct sites (fractional):
Sr (0.0000, 0.0000, 0.0000) x1
Mg (0.0000, 0.0000, 0.5000) x1
Mg (0.0000, 0.2567, 0.2564) x4
Mg (0.0000, 0.5000, 0.5000) x1
Mg (0.5000, 0.0000, 0.2598) x2
Mg (0.5000, 0.2517, 0.5000) x2
Mg (0.5000, 0.2593, 0.0000) x2
Mg (0.5000, 0.5000, 0.2507) x2
Co (0.0000, 0.5000, 0.0000) x1
O (0.0000, 0.0000, 0.2714) x2
O (0.0000, 0.2534, 0.5000) x2
O (0.0000, 0.2714, 0.0000) x2
O (0.0000, 0.5000, 0.2600) x2
O (0.5000, 0.0000, 0.0000) x1
O (0.5000, 0.0000, 0.5000) x1
O (0.5000, 0.2502, 0.2490) x4
O (0.5000, 0.5000, 0.0000) x1
O (0.5000, 0.5000, 0.5000) x1